KMg5: computed XRD peak list (copper Kα), based on a DFT-relaxed cell (GGA-PBE, Alexandria).
Peak positions follow from Bragg's law for the DFT cell and can differ from measured ones.

Structural model:
```
data_KMg5
_cell_length_a 8.768
_cell_length_b 8.768
_cell_length_c 8.768
_cell_angle_alpha 90.00
_cell_angle_beta 90.00
_cell_angle_gamma 90.00
_space_group_name_H-M_alt 'F -4 3 m'
_space_group_IT_number 216
_space_group_name_Hall 'F -4 2 3'
loop_
_atom_site_label
_atom_site_type_symbol
_atom_site_fract_x
_atom_site_fract_y
_atom_site_fract_z
K1 K 0.000 0.000 0.000
Mg1 Mg 0.124 0.124 0.624
Mg2 Mg 0.250 0.250 0.250
```

Largest 10 diffraction maxima, in order of rising 2θ, 10° ≤ 2θ ≤ 90°:
d 3.100, 28.80°, I 36, (2 2 0); d 2.644, 33.91°, I 100, (3 1 1); d 2.531, 35.46°, I 33, (2 2 2); d 1.790, 51.03°, I 13, (4 2 2); d 1.687, 54.37°, I 32, (5 1 1); d 1.550, 59.65°, I 26, (4 4 0); d 1.337, 70.42°, I 10, (5 3 3); d 1.322, 71.35°, I 11, (6 2 2); d 1.172, 82.29°, I 6, (6 4 2); d 1.142, 84.96°, I 18, (5 5 3)